This entry pairs a crystal structure of AcNdUN4 with its simulated PXRD pattern. Radiation: Cu Kα X-rays. Structure: DFT lattice parameters and positions (GGA-PBE).
Intensities are scaled so that the largest is 100.

Principal peaks in the range 10° ≤ 2θ ≤ 80°, in order of rising 2θ:
| d [Å] | 2θ/deg | intensity | h k l |
| --- | --- | --- | --- |
| 6.563 | 13.5 | 9 | 0 2 0 |
| 3.055 | 29.2 | 100 | 1 3 1 |
| 3.017 | 29.6 | 58 | 2 0 0 |
| 2.236 | 40.3 | 10 | 1 5 1 |
| 2.188 | 41.3 | 11 | 0 6 0 |
| 2.133 | 42.4 | 26 | 2 0 2 |
| 1.771 | 51.6 | 19 | 2 6 0 |
| 1.749 | 52.3 | 42 | 3 3 1 |
| 1.527 | 60.6 | 14 | 2 6 2 |
| 1.349 | 69.7 | 11 | 4 0 2 |

Structural model:
```
data_AcNdUN4
_cell_length_a 6.029
_cell_length_b 13.126
_cell_length_c 6.039
_cell_angle_alpha 90.00
_cell_angle_beta 90.00
_cell_angle_gamma 90.00
_space_group_name_H-M_alt 'C m c m'
_space_group_IT_number 63
_space_group_name_Hall '-C 2c 2'
loop_
_atom_site_label
_atom_site_type_symbol
_atom_site_fract_x
_atom_site_fract_y
_atom_site_fract_z
Ac1 Ac 0.000 0.102 0.250
Nd1 Nd 0.000 0.399 0.250
U1 U 0.000 0.252 0.750
N1 N 0.000 0.086 0.750
N2 N 0.000 0.424 0.750
N3 N 0.250 0.250 0.000
```